1.
Starting from a DFT-relaxed cell (GGA-PBE, Alexandria), the powder X-ray diffraction pattern of Rb3TmF7 was calculated for Cu Ka.

Peak list (10 most intense, 2θ from 15° to 90°, by angle)
| two_theta | Rel. int. |
| --- | --- |
| 15.50 | 37 |
| 25.34 | 47 |
| 25.70 | 100 |
| 26.21 | 84 |
| 27.22 | 50 |
| 36.55 | 28 |
| 38.26 | 27 |
| 44.57 | 27 |
| 45.00 | 25 |
| 47.80 | 26 |

Structural model:
```
data_Rb3TmF7
_chemical_formula_sum 'Rb3 Tm1 F7'
_symmetry_space_group_name_H-M 'P 1'
_symmetry_Int_Tables_number 1
_symmetry_space_group_name_Hall 'P 1'
_cell_length_a 6.814
_cell_length_b 6.814
_cell_length_c 6.556
_cell_angle_alpha 117.49
_cell_angle_beta 117.49
_cell_angle_gamma 92.39
loop_
_atom_site_label
_atom_site_fract_x
_atom_site_fract_y
_atom_site_fract_z
Rb1 0.000 0.000 0.000
Rb2 0.233 0.697 0.468
Rb3 0.697 0.233 0.468
Tm1 0.516 0.516 0.016
F1 0.160 0.371 0.615
F2 0.340 0.778 0.084
F3 0.355 0.355 0.138
F4 0.371 0.160 0.615
F5 0.647 0.647 0.846
F6 0.778 0.340 0.084
F7 0.792 0.792 0.427
```


2.
Starting from a DFT-relaxed cell (GGA-PBE, Alexandria), the powder X-ray diffraction pattern of KSr3Rh was calculated for Cu Ka.

Peak list (10 most intense, 2θ from 15° to 90°, by angle)
| two_theta | Rel. int. |
| --- | --- |
| 24.46 | 49 |
| 25.16 | 49 |
| 25.94 | 67 |
| 28.51 | 79 |
| 28.83 | 47 |
| 29.12 | 92 |
| 30.41 | 100 |
| 39.62 | 62 |
| 40.80 | 75 |
| 42.87 | 50 |

Structural model:
```
data_KSr3Rh
_chemical_formula_sum 'K2 Sr6 Rh2'
_symmetry_space_group_name_H-M 'P 1'
_symmetry_Int_Tables_number 1
_symmetry_space_group_name_Hall 'P 1'
_cell_length_a 11.591
_cell_length_b 11.591
_cell_length_c 9.530
_cell_angle_alpha 90.50
_cell_angle_beta 90.50
_cell_angle_gamma 20.97
loop_
_atom_site_label
_atom_site_fract_x
_atom_site_fract_y
_atom_site_fract_z
K1 0.215 0.215 0.327
K2 0.785 0.785 0.673
Sr1 0.031 0.031 0.182
Sr2 0.148 0.148 0.916
Sr3 0.417 0.417 0.403
Sr4 0.583 0.583 0.597
Sr5 0.852 0.852 0.084
Sr6 0.969 0.969 0.818
Rh1 0.447 0.447 0.080
Rh2 0.553 0.553 0.920
```


3.
Starting from a DFT-relaxed cell (GGA-PBE, Alexandria), the powder X-ray diffraction pattern of Sr3As4Pd was calculated for Cu Ka.

Peak list (10 most intense, 2θ from 15° to 90°, by angle)
| two_theta | Rel. int. |
| --- | --- |
| 19.35 | 35 |
| 26.53 | 100 |
| 33.13 | 32 |
| 34.03 | 47 |
| 36.32 | 26 |
| 37.52 | 44 |
| 38.21 | 44 |
| 39.87 | 41 |
| 54.63 | 31 |
| 70.58 | 18 |

Structural model:
```
data_Sr3As4Pd
_chemical_formula_sum 'Sr3 As4 Pd1'
_symmetry_space_group_name_H-M 'P 1'
_symmetry_Int_Tables_number 1
_symmetry_space_group_name_Hall 'P 1'
_cell_length_a 8.751
_cell_length_b 8.751
_cell_length_c 8.751
_cell_angle_alpha 148.20
_cell_angle_beta 140.78
_cell_angle_gamma 51.34
loop_
_atom_site_label
_atom_site_fract_x
_atom_site_fract_y
_atom_site_fract_z
Sr1 0.000 0.000 0.000
Sr2 0.309 0.809 0.500
Sr3 0.691 0.191 0.500
As1 0.096 0.380 0.716
As2 0.336 0.620 0.716
As3 0.664 0.380 0.284
As4 0.904 0.620 0.284
Pd1 0.500 0.500 0.000
```


4.
Starting from a DFT-relaxed cell (GGA-PBE, Alexandria), the powder X-ray diffraction pattern of TlCd2Hg9 was calculated for Cu Ka.

Peak list (10 most intense, 2θ from 15° to 90°, by angle)
| two_theta | Rel. int. |
| --- | --- |
| 32.88 | 100 |
| 34.34 | 21 |
| 39.84 | 16 |
| 40.03 | 15 |
| 53.60 | 12 |
| 53.74 | 12 |
| 60.58 | 16 |
| 67.95 | 13 |
| 68.21 | 12 |
| 68.95 | 11 |

Structural model:
```
data_TlCd2Hg9
_chemical_formula_sum 'Tl1 Cd2 Hg9'
_symmetry_space_group_name_H-M 'P 1'
_symmetry_Int_Tables_number 1
_symmetry_space_group_name_Hall 'P 1'
_cell_length_a 4.505
_cell_length_b 4.525
_cell_length_c 15.668
_cell_angle_alpha 90.00
_cell_angle_beta 90.00
_cell_angle_gamma 90.00
loop_
_atom_site_label
_atom_site_fract_x
_atom_site_fract_y
_atom_site_fract_z
Tl1 0.000 0.000 0.000
Cd1 0.000 0.000 0.340
Cd2 0.000 0.000 0.660
Hg1 0.000 0.500 0.177
Hg2 0.000 0.500 0.500
Hg3 0.000 0.500 0.823
Hg4 0.500 0.000 0.177
Hg5 0.500 0.000 0.500
Hg6 0.500 0.000 0.823
Hg7 0.500 0.500 0.000
Hg8 0.500 0.500 0.337
Hg9 0.500 0.500 0.663
```


5.
Starting from a DFT-relaxed cell (GGA-PBE, Alexandria), the powder X-ray diffraction pattern of HoNi3B3 was calculated for Cu Ka.

Peak list (10 most intense, 2θ from 15° to 90°, by angle)
| two_theta | Rel. int. |
| --- | --- |
| 26.97 | 35 |
| 31.30 | 27 |
| 35.93 | 21 |
| 36.87 | 23 |
| 39.39 | 100 |
| 40.95 | 39 |
| 46.27 | 38 |
| 47.64 | 17 |
| 68.59 | 28 |
| 78.35 | 17 |

Structural model:
```
data_HoNi3B3
_chemical_formula_sum 'Ho2 Ni6 B6'
_symmetry_space_group_name_H-M 'P 1'
_symmetry_Int_Tables_number 1
_symmetry_space_group_name_Hall 'P 1'
_cell_length_a 7.635
_cell_length_b 7.635
_cell_length_c 3.169
_cell_angle_alpha 90.00
_cell_angle_beta 90.00
_cell_angle_gamma 120.00
loop_
_atom_site_label
_atom_site_fract_x
_atom_site_fract_y
_atom_site_fract_z
Ho1 0.333 0.667 0.250
Ho2 0.667 0.333 0.750
Ni1 0.081 0.332 0.750
Ni2 0.251 0.919 0.750
Ni3 0.332 0.251 0.250
Ni4 0.668 0.749 0.750
Ni5 0.749 0.081 0.250
Ni6 0.919 0.668 0.250
B1 0.039 0.593 0.750
B2 0.407 0.446 0.750
B3 0.446 0.039 0.250
B4 0.554 0.961 0.750
B5 0.593 0.554 0.250
B6 0.961 0.407 0.250
```


6.
Starting from a DFT-relaxed cell (GGA-PBE, Alexandria), the powder X-ray diffraction pattern of Ac3PuPd12 was calculated for Cu Ka.

Peak list (10 most intense, 2θ from 15° to 90°, by angle)
| two_theta | Rel. int. |
| --- | --- |
| 20.79 | 13 |
| 29.57 | 11 |
| 36.42 | 100 |
| 42.30 | 49 |
| 47.59 | 7 |
| 52.46 | 5 |
| 61.37 | 32 |
| 73.47 | 26 |
| 73.60 | 11 |
| 77.37 | 11 |

Structural model:
```
data_Ac3PuPd12
_chemical_formula_sum 'Ac3 Pu1 Pd12'
_symmetry_space_group_name_H-M 'P 1'
_symmetry_Int_Tables_number 1
_symmetry_space_group_name_Hall 'P 1'
_cell_length_a 4.276
_cell_length_b 4.276
_cell_length_c 17.067
_cell_angle_alpha 90.00
_cell_angle_beta 90.00
_cell_angle_gamma 90.00
loop_
_atom_site_label
_atom_site_fract_x
_atom_site_fract_y
_atom_site_fract_z
Ac1 0.000 0.000 0.000
Ac2 0.000 0.000 0.254
Ac3 0.000 0.000 0.746
Pu1 0.000 0.000 0.500
Pd1 0.000 0.500 0.128
Pd2 0.000 0.500 0.385
Pd3 0.000 0.500 0.615
Pd4 0.000 0.500 0.872
Pd5 0.500 0.000 0.128
Pd6 0.500 0.000 0.385
Pd7 0.500 0.000 0.615
Pd8 0.500 0.000 0.872
Pd9 0.500 0.500 0.000
Pd10 0.500 0.500 0.255
Pd11 0.500 0.500 0.500
Pd12 0.500 0.500 0.745
```